YCu: calculated X-ray powder pattern (a wavelength of 1.5418 Å), based on the GGA-PBE geometry in the Materials Project.
Neutral-atom scattering factors, no anomalous dispersion.

The 10 most intense peaks (2θ = 10–80°), in order of rising 2θ:
2theta, I (rel.)
28.77, 48.5
31.96, 82.5
35.40, 61.6
36.11, 100.0
40.56, 58.5
40.97, 99.3
41.10, 43.1
54.91, 33.5
59.12, 28.1
69.35, 28.6

```
8
Lattice="7.2077 0.0000 0.0000 0.0000 4.4480 0.0000 0.0000 0.0000 5.4176" Properties=species:S:1:pos:R:3 pbc="T T T"
Y 1.3056 1.1120 0.7219
Y 2.2982 3.3360 3.4306
Y 4.9095 1.1120 1.9869
Y 5.9021 3.3360 4.6957
Cu 0.2307 1.1120 3.3810
Cu 3.3731 3.3360 0.6722
Cu 3.8346 1.1120 4.7454
Cu 6.9770 3.3360 2.0366
```